Diffraction record for Mn5V4O12. The powder XRD pattern is theoretical, not measured: it uses DFT lattice parameters and positions (PBE+U) and copper Kα.
Kinematic intensities with the Lorentz-polarization factor, no thermal factor.

Crystal structure
Unit cell a=8.942 b=8.640 c=13.524 alpha=90.00 beta=108.89 gamma=90.00
Space group C2/c (No. 15)
Inequivalent atoms, fractional coordinates:
Mn  0.000  0.131  0.250
Mn  0.168  0.498  0.833
Mn  0.170  0.373  0.083
V  0.000  0.000  0.000
V  0.084  0.250  0.666
V  0.250  0.250  0.500
O  0.024  0.244  0.505
O  0.074  0.017  0.656
O  0.089  0.485  0.678
O  0.147  0.266  0.826
O  0.185  0.269  0.340
O  0.239  0.007  0.512

Principal peaks in the range 2θ from 5° to 70°, low angle first:
| two_theta | Rel. int. |
| --- | --- |
| 17.7 | 33 |
| 28.8 | 50 |
| 29.4 | 33 |
| 33.4 | 65 |
| 33.6 | 49 |
| 34.4 | 100 |
| 34.6 | 47 |
| 34.8 | 51 |
| 55.2 | 34 |
| 59.5 | 50 |
| 59.7 | 25 |
| 61.1 | 46 |